Computed PXRD pattern
Compound: LiMgZr
Radiation: Cu Kα
Structure: a structure optimized by DFT (PBE)
Intensities are scaled so that the largest is 100.

Crystal structure
a = 3.2181 Å, b = 4.9809 Å, c = 16.1576 Å
α = 90.00°, β = 90.00°, γ = 90.00°
Element x y z (fractional)
Li (0.0000, 0.0000, 0.0000)
Li (0.0000, 0.5000, 0.5000)
Li (0.5000, 0.0000, 0.5000)
Li (0.5000, 0.5000, 0.0000)
Mg (0.0000, 0.0000, 0.3376)
Mg (0.0000, 0.5000, 0.8376)
Mg (0.5000, 0.0000, 0.8376)
Mg (0.5000, 0.5000, 0.3376)
Zr (0.0000, 0.0000, 0.6687)
Zr (0.0000, 0.5000, 0.1687)
Zr (0.5000, 0.0000, 0.1687)
Zr (0.5000, 0.5000, 0.6687)

Top 12 peaks for 15 to 90 degrees two-theta, sorted by position:
2θ 22.00, d 4.039, I 43
2θ 33.27, d 2.693, I 34
2θ 33.62, d 2.666, I 55
2θ 36.06, d 2.490, I 27
2θ 37.22, d 2.416, I 100
2θ 37.80, d 2.380, I 19
2θ 42.65, d 2.120, I 15
2θ 43.66, d 2.073, I 25
2θ 49.88, d 1.828, I 21
2θ 52.10, d 1.755, I 16
2θ 62.07, d 1.495, I 26
2θ 65.60, d 1.423, I 18

Computed PXRD pattern
Compound: LiMn4
Radiation: Cu Kα
Structure: a structure optimized by DFT (PBE)
Intensities are scaled so that the largest is 100.

Crystal structure
a = 4.2433 Å, b = 4.2433 Å, c = 4.2433 Å
α = 90.00°, β = 90.00°, γ = 90.00°
Element x y z (fractional)
Li (0.0000, 0.0000, 0.0000)
Mn (0.0000, 0.0000, 0.5000)
Mn (0.0000, 0.5000, 0.0000)
Mn (0.5000, 0.0000, 0.0000)
Mn (0.5000, 0.5000, 0.5000)

Top 5 peaks for 15 to 90 degrees two-theta, sorted by position:
2θ 36.68, d 2.450, I 100
2θ 42.61, d 2.122, I 52
2θ 61.84, d 1.500, I 31
2θ 74.11, d 1.279, I 32
2θ 78.01, d 1.225, I 10

Computed PXRD pattern
Compound: LiMn
Radiation: Cu Kα
Structure: a structure optimized by DFT (PBE)
Intensities are scaled so that the largest is 100.

Crystal structure
a = 2.5376 Å, b = 2.5376 Å, c = 8.9970 Å
α = 90.00°, β = 90.00°, γ = 120.00°
Element x y z (fractional)
Li (0.3333, 0.6667, 0.1436)
Li (0.6667, 0.3333, 0.8564)
Mn (0.3333, 0.6667, 0.6016)
Mn (0.6667, 0.3333, 0.3984)

Top 12 peaks for 15 to 90 degrees two-theta, sorted by position:
2θ 19.74, d 4.498, I 15
2θ 40.09, d 2.249, I 25
2θ 41.07, d 2.198, I 25
2θ 42.34, d 2.135, I 53
2θ 45.96, d 1.975, I 100
2θ 50.74, d 1.799, I 14
2θ 51.56, d 1.773, I 51
2θ 58.74, d 1.572, I 22
2θ 74.83, d 1.269, I 15
2θ 75.70, d 1.256, I 13
2θ 88.03, d 1.109, I 11
2θ 88.47, d 1.105, I 13

What did the first record say?
Computed PXRD pattern
Compound: LiMgZr
Radiation: Cu Kα
Structure: a structure optimized by DFT (PBE)
Intensities are scaled so that the largest is 100.

Crystal structure
a = 3.2181 Å, b = 4.9809 Å, c = 16.1576 Å
α = 90.00°, β = 90.00°, γ = 90.00°
Element x y z (fractional)
Li (0.0000, 0.0000, 0.0000)
Li (0.0000, 0.5000, 0.5000)
Li (0.5000, 0.0000, 0.5000)
Li (0.5000, 0.5000, 0.0000)
Mg (0.0000, 0.0000, 0.3376)
Mg (0.0000, 0.5000, 0.8376)
Mg (0.5000, 0.0000, 0.8376)
Mg (0.5000, 0.5000, 0.3376)
Zr (0.0000, 0.0000, 0.6687)
Zr (0.0000, 0.5000, 0.1687)
Zr (0.5000, 0.0000, 0.1687)
Zr (0.5000, 0.5000, 0.6687)

Top 12 peaks for 15 to 90 degrees two-theta, sorted by position:
2θ 22.00, d 4.039, I 43
2θ 33.27, d 2.693, I 34
2θ 33.62, d 2.666, I 55
2θ 36.06, d 2.490, I 27
2θ 37.22, d 2.416, I 100
2θ 37.80, d 2.380, I 19
2θ 42.65, d 2.120, I 15
2θ 43.66, d 2.073, I 25
2θ 49.88, d 1.828, I 21
2θ 52.10, d 1.755, I 16
2θ 62.07, d 1.495, I 26
2θ 65.60, d 1.423, I 18